(1)
Starting from the GGA-PBE geometry in Alexandria, the powder diffractogram of La4Pm2SmMg was simulated for Cu Kα (λ = 1.5418 Å).
No peak broadening, texture or thermal motion is included.

Principal peaks in the range 2θ from 10° to 90°, in order of rising 2θ:
2θ/deg, d (Å), intensity
30.0, 2.976, 100
34.7, 2.586, 34
35.0, 2.562, 17
49.9, 1.828, 12
50.1, 1.820, 24
59.3, 1.558, 29
59.8, 1.548, 14
62.4, 1.488, 12

Crystal structure
```
data_La4Pm2SmMg
_cell_length_a 5.171
_cell_length_b 5.171
_cell_length_c 10.249
_cell_angle_alpha 90.00
_cell_angle_beta 90.00
_cell_angle_gamma 90.00
_symmetry_space_group_name_H-M 'P 1'
_symmetry_Int_Tables_number 1
_symmetry_space_group_name_Hall 'P 1'
loop_
_atom_site_label
_atom_site_type_symbol
_atom_site_fract_x
_atom_site_fract_y
_atom_site_fract_z
La1 La 0.000 0.500 0.246
La2 La 0.000 0.500 0.754
La3 La 0.500 0.000 0.246
La4 La 0.500 0.000 0.754
Pm1 Pm 0.000 0.000 0.000
Pm2 Pm 0.500 0.500 0.500
Sm1 Sm 0.000 0.000 0.500
Mg1 Mg 0.500 0.500 0.000
```


(2)
Starting from the GGA-PBE geometry in Alexandria, the powder diffractogram of La2Pm6SmMg was simulated for Cu Kα (λ = 1.5418 Å).
No peak broadening, texture or thermal motion is included.

Principal peaks in the range 2θ from 10° to 90°, in order of rising 2θ:
2θ/deg, d (Å), intensity
28.6, 3.125, 69
29.6, 3.014, 86
29.9, 2.989, 60
31.3, 2.856, 52
31.4, 2.847, 100
31.7, 2.825, 67
32.2, 2.780, 28
32.8, 2.727, 71

Crystal structure
```
data_La2Pm6SmMg
_cell_length_a 8.765
_cell_length_b 8.765
_cell_length_c 9.956
_cell_angle_alpha 95.46
_cell_angle_beta 95.46
_cell_angle_gamma 115.78
_symmetry_space_group_name_H-M 'P 1'
_symmetry_Int_Tables_number 1
_symmetry_space_group_name_Hall 'P 1'
loop_
_atom_site_label
_atom_site_type_symbol
_atom_site_fract_x
_atom_site_fract_y
_atom_site_fract_z
La1 La 0.205 0.294 0.050
La2 La 0.294 0.205 0.550
La3 La 0.706 0.795 0.450
La4 La 0.795 0.706 0.950
Pm1 Pm 0.006 0.576 0.191
Pm2 Pm 0.119 0.741 0.552
Pm3 Pm 0.259 0.881 0.948
Pm4 Pm 0.305 0.506 0.387
Pm5 Pm 0.424 0.994 0.309
Pm6 Pm 0.494 0.695 0.113
Pm7 Pm 0.506 0.305 0.887
Pm8 Pm 0.576 0.006 0.691
Pm9 Pm 0.695 0.494 0.613
Pm10 Pm 0.741 0.119 0.052
Pm11 Pm 0.881 0.259 0.448
Pm12 Pm 0.994 0.424 0.809
Sm1 Sm 0.009 0.991 0.250
Sm2 Sm 0.991 0.009 0.750
Mg1 Mg 0.402 0.598 0.750
Mg2 Mg 0.598 0.402 0.250
```